This entry pairs a crystal structure of Ac6SnPb3 with its computed X-ray diffraction stick pattern. Radiation: Cu Kα X-rays. Structure: the PBE geometry in Alexandria.

Cell and atoms:
a = 12.5303 Å, b = 4.8405 Å, c = 14.1861 Å
α = 90.00°, β = 104.62°, γ = 90.00°
Space group P2_1/m (No. 11)
Unique sites:
Ac 0.0305 0.2500 0.3699 (multiplicity 2)
Ac 0.0702 0.2500 0.9028 (multiplicity 2)
Ac 0.2610 0.7500 0.3132 (multiplicity 2)
Ac 0.3094 0.7500 0.7619 (multiplicity 2)
Ac 0.3788 0.7500 0.1011 (multiplicity 2)
Ac 0.3876 0.2500 0.5471 (multiplicity 2)
Sn 0.4533 0.2500 0.3083 (multiplicity 2)
Pb 0.1334 0.2500 0.1490 (multiplicity 2)
Pb 0.1779 0.7500 0.5188 (multiplicity 2)
Pb 0.3493 0.2500 0.9249 (multiplicity 2)

Largest 10 diffraction maxima, by intensity, 10 to 90 degrees two-theta:
28.7°, intensity 100
37.1°, intensity 48
26.4°, intensity 47
25.4°, intensity 37
29.1°, intensity 37
32.3°, intensity 36
26.8°, intensity 26
31.5°, intensity 25
21.4°, intensity 22
42.6°, intensity 15